1.
The following is a computed powder X-ray diffraction pattern of ErTmPu2Se5. It was derived from a PBE-relaxed structure, using Cu Kα (λ = 1.5418 Å).

```
ErTmPu2Se5
1.0
5.0890 0.0000 0.0000
0.0000 5.0890 0.0000
0.0000 0.0000 10.6719
Er Tm Pu Se
1 1 2 5
Direct
0.0000 0.0000 0.0000
0.0000 0.0000 0.5000
0.5000 0.5000 0.3057
0.5000 0.5000 0.6943
0.0000 0.0000 0.2440
0.0000 0.0000 0.7560
0.0000 0.5000 0.5000
0.5000 0.0000 0.5000
0.5000 0.5000 0.0000
```

Main lines, in order of rising 2θ (5° ≤ 2θ ≤ 70°):
8.3°, intensity 41; 24.2°, intensity 55; 24.7°, intensity 100; 30.7°, intensity 38; 35.3°, intensity 75; 35.5°, intensity 40; 43.2°, intensity 25; 47.4°, intensity 24; 49.5°, intensity 26; 50.7°, intensity 27


2.
The following is a computed powder X-ray diffraction pattern of YEr3Pu3Se8. It was derived from a PBE-relaxed structure, using Cu Kα (λ = 1.5418 Å).

```
YEr3Pu3Se8
1.0
4.9660 -5.0601 0.0000
4.9660 5.0601 0.0000
-0.0169 0.0000 7.1340
Y Er Pu Se
1 3 3 8
Direct
0.0000 0.0000 0.0000
0.0000 0.5000 0.0000
0.5000 0.0000 0.0000
0.5000 0.5000 0.0000
0.0000 0.0000 0.5000
0.0000 0.5000 0.5000
0.5000 0.0000 0.5000
0.2463 0.7537 0.2383
0.2463 0.7537 0.7617
0.2491 0.2491 0.2391
0.2488 0.2488 0.7610
0.7512 0.7512 0.2390
0.7509 0.7509 0.7609
0.7537 0.2463 0.2383
0.7537 0.2463 0.7617
```

Main lines, in order of rising 2θ (5° ≤ 2θ ≤ 70°):
17.6°, intensity 11; 25.1°, intensity 14; 35.5°, intensity 26; 35.7°, intensity 100; 36.2°, intensity 24; 51.2°, intensity 9; 51.6°, intensity 18; 63.9°, intensity 28; 64.7°, intensity 9; 64.8°, intensity 9


3.
The following is a computed powder X-ray diffraction pattern of YErPu2Se5. It was derived from a PBE-relaxed structure, using Cu Kα (λ = 1.5418 Å).

```
YErPu2Se5
1.0
5.1093 0.0000 0.0000
0.0000 5.1093 0.0000
0.0000 0.0000 10.7290
Y Er Pu Se
1 1 2 5
Direct
0.0000 0.0000 0.0000
0.0000 0.0000 0.5000
0.5000 0.5000 0.3069
0.5000 0.5000 0.6931
0.0000 0.0000 0.2446
0.0000 0.0000 0.7554
0.0000 0.5000 0.5000
0.5000 0.0000 0.5000
0.5000 0.5000 0.0000
```

Main lines, in order of rising 2θ (5° ≤ 2θ ≤ 70°):
8.2°, intensity 84; 24.1°, intensity 44; 24.6°, intensity 100; 29.8°, intensity 22; 30.5°, intensity 61; 35.1°, intensity 79; 35.3°, intensity 39; 47.2°, intensity 37; 49.3°, intensity 25; 50.5°, intensity 28


4.
The following is a computed powder X-ray diffraction pattern of Er2PuSi4. It was derived from a PBE-relaxed structure, using Cu Kα (λ = 1.5418 Å).

```
Er2PuSi4
1.0
3.8578 0.0000 0.0000
0.0000 4.1901 0.0000
0.0000 0.0000 17.4281
Er Pu Si
4 2 8
Direct
0.0000 0.0000 0.1836
0.0000 0.0000 0.8164
0.5000 0.5000 0.3164
0.5000 0.5000 0.6836
0.0000 0.5000 0.5000
0.5000 0.0000 0.0000
0.0000 0.0000 0.3517
0.0000 0.0000 0.6483
0.0000 0.5000 0.0662
0.0000 0.5000 0.9338
0.5000 0.0000 0.4338
0.5000 0.0000 0.5662
0.5000 0.5000 0.1483
0.5000 0.5000 0.8517
```

Main lines, in order of rising 2θ (5° ≤ 2θ ≤ 70°):
21.8°, intensity 41; 27.8°, intensity 68; 30.8°, intensity 29; 33.2°, intensity 100; 33.4°, intensity 57; 37.8°, intensity 26; 43.2°, intensity 38; 52.1°, intensity 26; 53.0°, intensity 34; 59.0°, intensity 23


5.
The following is a computed powder X-ray diffraction pattern of Sm7Er12Pu. It was derived from a PBE-relaxed structure, using Cu Kα (λ = 1.5418 Å).

```
Sm7Er12Pu
1.0
8.6463 0.0000 0.0000
1.5186 8.7447 0.0000
1.0584 3.9900 8.4324
Sm Er Pu
7 12 1
Direct
0.0000 0.0000 0.0000
0.1545 0.7477 0.3668
0.1943 0.3955 0.7542
0.2207 0.1631 0.1678
0.7793 0.8369 0.8322
0.8057 0.6045 0.2458
0.8455 0.2523 0.6332
0.1487 0.9079 0.6329
0.1524 0.5979 0.0196
0.1677 0.3529 0.4104
0.4269 0.8077 0.0664
0.4662 0.0881 0.6409
0.4889 0.6355 0.7915
0.5111 0.3645 0.2085
0.5338 0.9119 0.3591
0.5731 0.1923 0.9336
0.8323 0.6471 0.5896
0.8476 0.4021 0.9804
0.8513 0.0921 0.3671
0.5000 0.5000 0.5000
```

Main lines, in order of rising 2θ (5° ≤ 2θ ≤ 70°):
30.1°, intensity 11; 31.3°, intensity 63; 31.6°, intensity 100; 31.7°, intensity 66; 32.0°, intensity 14; 34.0°, intensity 58; 34.2°, intensity 57; 41.1°, intensity 15; 48.7°, intensity 12; 59.6°, intensity 12


6.
The following is a computed powder X-ray diffraction pattern of Sm2Er12Pu. It was derived from a PBE-relaxed structure, using Cu Kα (λ = 1.5418 Å).

```
Sm2Er12Pu
1.0
6.3601 0.0000 0.0000
0.0000 6.3601 0.0000
0.0000 0.0000 24.4643
Sm Er Pu
4 24 2
Direct
0.2500 0.7500 0.2286
0.2500 0.7500 0.7714
0.7500 0.2500 0.2286
0.7500 0.2500 0.7714
0.0641 0.5641 0.3907
0.0641 0.9359 0.6093
0.0810 0.5810 0.9389
0.0810 0.9190 0.0611
0.2500 0.2500 0.1616
0.2500 0.2500 0.2892
0.2500 0.2500 0.7108
0.2500 0.2500 0.8384
0.4190 0.5810 0.0611
0.4190 0.9190 0.9389
0.4359 0.5641 0.6093
0.4359 0.9359 0.3907
0.5641 0.0641 0.6093
0.5641 0.4359 0.3907
0.5810 0.0810 0.0611
0.5810 0.4190 0.9389
0.7500 0.7500 0.1616
0.7500 0.7500 0.2892
0.7500 0.7500 0.7108
0.7500 0.7500 0.8384
0.9190 0.0810 0.9389
0.9190 0.4190 0.0611
0.9359 0.0641 0.3907
0.9359 0.4359 0.6093
0.2500 0.7500 0.5000
0.7500 0.2500 0.5000
```

Main lines, in order of rising 2θ (5° ≤ 2θ ≤ 70°):
21.0°, intensity 56; 29.0°, intensity 67; 30.2°, intensity 58; 31.7°, intensity 61; 32.3°, intensity 87; 32.4°, intensity 100; 33.0°, intensity 57; 34.8°, intensity 52; 40.1°, intensity 58; 57.0°, intensity 40


7.
The following is a computed powder X-ray diffraction pattern of Sm6Er4Pu. It was derived from a PBE-relaxed structure, using Cu Kα (λ = 1.5418 Å).

```
Sm6Er4Pu
1.0
1.7711 -11.6017 0.0000
1.7711 11.6017 0.0000
0.0000 0.0000 17.5158
Sm Er Pu
12 8 2
Direct
0.0000 0.0000 0.0000
0.0000 0.0000 0.5000
0.2482 0.7518 0.7500
0.2583 0.7417 0.0828
0.2583 0.7417 0.4172
0.4865 0.5135 0.6616
0.4865 0.5135 0.8384
0.5135 0.4865 0.1616
0.5135 0.4865 0.3384
0.7417 0.2583 0.5828
0.7417 0.2583 0.9172
0.7518 0.2482 0.2500
0.1169 0.8831 0.6401
0.1169 0.8831 0.8599
0.3707 0.6293 0.5449
0.3707 0.6293 0.9551
0.6293 0.3707 0.0449
0.6293 0.3707 0.4551
0.8831 0.1169 0.1401
0.8831 0.1169 0.3599
0.1281 0.8719 0.2500
0.8719 0.1281 0.7500
```

Main lines, in order of rising 2θ (5° ≤ 2θ ≤ 70°):
26.6°, intensity 57; 29.6°, intensity 72; 30.8°, intensity 84; 31.6°, intensity 48; 31.7°, intensity 100; 33.4°, intensity 34; 34.6°, intensity 66; 35.4°, intensity 66; 38.0°, intensity 27; 61.4°, intensity 34


8.
The following is a computed powder X-ray diffraction pattern of Sm4Er8Pu. It was derived from a PBE-relaxed structure, using Cu Kα (λ = 1.5418 Å).

```
Sm4Er8Pu
1.0
5.4656 3.1556 4.4428
-5.4656 3.1556 4.4428
0.0000 -6.3111 4.4428
Sm Er Pu
4 8 1
Direct
0.0000 0.0000 0.0000
0.0000 0.5000 0.5000
0.5000 0.0000 0.5000
0.5000 0.5000 0.0000
0.2440 0.2440 0.2440
0.2436 0.2436 0.7545
0.2436 0.7545 0.2436
0.2455 0.7564 0.7564
0.7545 0.2436 0.2436
0.7564 0.2455 0.7564
0.7564 0.7564 0.2455
0.7560 0.7560 0.7560
0.5000 0.5000 0.5000
```

Main lines, in order of rising 2θ (5° ≤ 2θ ≤ 70°):
16.2°, intensity 13; 19.9°, intensity 14; 23.0°, intensity 13; 25.8°, intensity 13; 32.8°, intensity 100; 32.9°, intensity 99; 47.1°, intensity 36; 58.5°, intensity 57; 58.8°, intensity 19; 68.7°, intensity 12


9.
The following is a computed powder X-ray diffraction pattern of Sm3Y6Er2Pu. It was derived from a PBE-relaxed structure, using Cu Kα (λ = 1.5418 Å).

```
Sm3Y6Er2Pu
1.0
3.0976 -5.3608 0.0000
3.0976 5.3608 0.0000
-0.0171 0.0000 11.4932
Sm Y Er Pu
3 6 2 1
Direct
0.0000 0.0000 0.0000
0.3332 0.6668 0.0000
0.6668 0.3332 0.0000
0.0008 0.3300 0.7456
0.3282 0.3282 0.2544
0.3300 0.0008 0.7456
0.6700 0.9992 0.2544
0.6718 0.6718 0.7456
0.9992 0.6700 0.2544
0.3334 0.6666 0.5000
0.6666 0.3334 0.5000
0.0000 0.0000 0.5000
```

Main lines, in order of rising 2θ (5° ≤ 2θ ≤ 70°):
15.4°, intensity 13; 28.8°, intensity 23; 29.9°, intensity 18; 31.1°, intensity 28; 32.9°, intensity 100; 42.9°, intensity 16; 51.1°, intensity 21; 56.5°, intensity 21; 61.0°, intensity 24; 62.1°, intensity 16


10.
The following is a computed powder X-ray diffraction pattern of Tb2Er3Pu. It was derived from a PBE-relaxed structure, using Cu Kα (λ = 1.5418 Å).

```
Tb2Er3Pu
1.0
-2.8956 6.7495 4.7044
2.8956 -6.7495 4.7044
2.8956 6.7495 -4.7044
Tb Er Pu
4 6 2
Direct
0.1461 0.0281 0.1180
0.4100 0.0281 0.3820
0.5900 0.9719 0.6180
0.8539 0.9719 0.8820
0.1453 0.6666 0.4787
0.3120 0.3334 0.9787
0.3845 0.6345 0.7500
0.6155 0.3655 0.2500
0.6880 0.6666 0.0213
0.8547 0.3334 0.5213
0.0000 0.0000 0.5000
0.0000 0.5000 0.0000
```

Main lines, in order of rising 2θ (5° ≤ 2θ ≤ 70°):
29.2°, intensity 39; 30.9°, intensity 30; 31.6°, intensity 44; 32.1°, intensity 100; 32.5°, intensity 85; 32.7°, intensity 73; 33.0°, intensity 38; 38.2°, intensity 38; 57.4°, intensity 38; 58.3°, intensity 28


11.
The following is a computed powder X-ray diffraction pattern of Tb5Er6Pu. It was derived from a PBE-relaxed structure, using Cu Kα (λ = 1.5418 Å).

```
Tb5Er6Pu
1.0
3.0481 -5.2827 0.0000
3.0481 5.2827 0.0000
-2.0367 0.0000 11.4335
Tb Er Pu
5 6 1
Direct
0.0000 0.0000 0.0000
0.1666 0.8334 0.5000
0.3328 0.6672 0.0000
0.6672 0.3328 0.0000
0.8334 0.1666 0.5000
0.0882 0.4175 0.2520
0.2532 0.2532 0.7481
0.4175 0.0882 0.2520
0.5825 0.9118 0.7480
0.7468 0.7468 0.2519
0.9118 0.5825 0.7480
0.5000 0.5000 0.5000
```

Main lines, in order of rising 2θ (5° ≤ 2θ ≤ 70°):
31.1°, intensity 100; 31.3°, intensity 33; 36.1°, intensity 67; 51.9°, intensity 24; 52.2°, intensity 24; 61.8°, intensity 24; 61.9°, intensity 19; 62.1°, intensity 14; 64.9°, intensity 12; 65.3°, intensity 4


12.
The following is a computed powder X-ray diffraction pattern of Tb2Er12Pu. It was derived from a PBE-relaxed structure, using Cu Kα (λ = 1.5418 Å).

```
Tb2Er12Pu
1.0
6.3429 0.0000 0.0000
0.0000 6.3429 0.0000
0.0000 0.0000 24.4416
Tb Er Pu
4 24 2
Direct
0.2500 0.7500 0.2277
0.2500 0.7500 0.7723
0.7500 0.2500 0.2277
0.7500 0.2500 0.7723
0.0646 0.5646 0.3904
0.0646 0.9354 0.6096
0.0811 0.5811 0.9387
0.0811 0.9189 0.0613
0.2500 0.2500 0.1618
0.2500 0.2500 0.2889
0.2500 0.2500 0.7111
0.2500 0.2500 0.8382
0.4189 0.5811 0.0613
0.4189 0.9189 0.9387
0.4354 0.5646 0.6096
0.4354 0.9354 0.3904
0.5646 0.0646 0.6096
0.5646 0.4354 0.3904
0.5811 0.0811 0.0613
0.5811 0.4189 0.9387
0.7500 0.7500 0.1618
0.7500 0.7500 0.2889
0.7500 0.7500 0.7111
0.7500 0.7500 0.8382
0.9189 0.0811 0.9387
0.9189 0.4189 0.0613
0.9354 0.0646 0.3904
0.9354 0.4354 0.6096
0.2500 0.7500 0.5000
0.7500 0.2500 0.5000
```

Main lines, in order of rising 2θ (5° ≤ 2θ ≤ 70°):
21.1°, intensity 28; 29.1°, intensity 36; 30.2°, intensity 31; 31.8°, intensity 33; 32.5°, intensity 100; 33.0°, intensity 30; 34.9°, intensity 27; 36.6°, intensity 19; 40.2°, intensity 31; 57.1°, intensity 22


> Number 1 is which compound?

ErTmPu2Se5


What did the seventh record say?
The following is a computed powder X-ray diffraction pattern of Sm6Er4Pu. It was derived from a PBE-relaxed structure, using Cu Kα (λ = 1.5418 Å).

```
Sm6Er4Pu
1.0
1.7711 -11.6017 0.0000
1.7711 11.6017 0.0000
0.0000 0.0000 17.5158
Sm Er Pu
12 8 2
Direct
0.0000 0.0000 0.0000
0.0000 0.0000 0.5000
0.2482 0.7518 0.7500
0.2583 0.7417 0.0828
0.2583 0.7417 0.4172
0.4865 0.5135 0.6616
0.4865 0.5135 0.8384
0.5135 0.4865 0.1616
0.5135 0.4865 0.3384
0.7417 0.2583 0.5828
0.7417 0.2583 0.9172
0.7518 0.2482 0.2500
0.1169 0.8831 0.6401
0.1169 0.8831 0.8599
0.3707 0.6293 0.5449
0.3707 0.6293 0.9551
0.6293 0.3707 0.0449
0.6293 0.3707 0.4551
0.8831 0.1169 0.1401
0.8831 0.1169 0.3599
0.1281 0.8719 0.2500
0.8719 0.1281 0.7500
```

Main lines, in order of rising 2θ (5° ≤ 2θ ≤ 70°):
26.6°, intensity 57; 29.6°, intensity 72; 30.8°, intensity 84; 31.6°, intensity 48; 31.7°, intensity 100; 33.4°, intensity 34; 34.6°, intensity 66; 35.4°, intensity 66; 38.0°, intensity 27; 61.4°, intensity 34